Nd5ThZn6: theoretical powder XRD pattern (Cu Kα X-rays), based on DFT lattice parameters and positions (PBE).
Lines closer than 0.1° are merged.

Principal peaks in the range 2θ = 10–80°, in order of rising 2θ:
2theta, I (rel.), (hkl)
24.2, 17.2, 1 0 1
34.4, 100.0, 1 2 1
49.5, 11.9, 2 0 2
49.6, 5.9, 2 0 -4
61.7, 24.3, 3 2 0
61.8, 12.1, 3 2 -3
72.6, 5.6, 2 4 2
72.7, 5.5, 4 0 -2

Atomic structure:
Cell: 5.2026 7.3616 8.2357 Å, 90.00 108.28 90.00°
Space group P2/m (No. 10)
Asymmetric unit:
Nd1 0.0000 0.0000 0.0000 x1
Nd2 0.3334 0.0000 0.6671 x2
Nd3 0.3340 0.5000 0.6680 x2
Th1 0.0000 0.5000 0.0000 x1
Zn1 0.1659 0.2509 0.3317 x4
Zn2 0.5000 0.2505 0.0000 x2

---

K2Ag2PdCl6: theoretical powder XRD pattern (Cu Kα X-rays), based on DFT lattice parameters and positions (PBE).
Lines closer than 0.1° are merged.

Principal peaks in the range 2θ = 10–80°, in order of rising 2θ:
2theta, I (rel.), (hkl)
14.5, 60.0, 1 1 0
19.9, 55.4, 0 2 1
30.6, 100.0, 1 3 1
31.5, 39.9, 2 0 -2
38.0, 17.8, 1 5 0
42.7, 27.0, 3 3 -1
44.6, 17.7, 2 0 2
46.2, 24.3, 1 3 -3

Atomic structure:
Cell: 7.3586 12.6096 6.6696 Å, 90.00 108.95 90.00°
Space group C2/m (No. 12)
Asymmetric unit:
K1 0.0000 0.1612 0.0000 x4
Ag1 0.0000 0.3073 0.5000 x4
Pd1 0.0000 0.5000 0.0000 x2
Cl1 0.1865 0.5000 0.7783 x4
Cl2 0.2191 0.3456 0.2726 x8

---

HfAg2Sn2: theoretical powder XRD pattern (Cu Kα X-rays), based on DFT lattice parameters and positions (PBE).
Lines closer than 0.1° are merged.

Principal peaks in the range 2θ = 10–80°, in order of rising 2θ:
2theta, I (rel.), (hkl)
31.0, 17.5, 2 2 0
31.3, 28.2, 1 1 1
34.8, 84.7, 3 1 0
36.8, 100.0, 2 1 1
41.7, 15.0, 2 2 1
44.7, 15.5, 3 1 1
67.6, 24.5, 3 1 2
68.1, 19.9, 5 2 1

Atomic structure:
Cell: 8.1609 8.1609 3.2849 Å, 90.00 90.00 90.00°
Space group P4/mbm (No. 127)
Asymmetric unit:
Hf1 0.0000 0.0000 0.0000 x2
Ag1 0.1338 0.3662 0.5000 x4
Sn1 0.1644 0.6644 0.0000 x4

---

ZrSc8: theoretical powder XRD pattern (Cu Kα X-rays), based on DFT lattice parameters and positions (PBE).
Lines closer than 0.1° are merged.

Principal peaks in the range 2θ = 10–80°, in order of rising 2θ:
2theta, I (rel.), (hkl)
33.8, 100.0, 3 0 1
39.2, 32.3, 3 3 0
39.4, 16.0, 0 0 2
56.6, 10.0, 6 0 0
56.8, 19.9, 3 3 2
67.6, 22.3, 6 3 1
67.9, 11.6, 3 0 3
71.1, 9.5, 6 0 2

Atomic structure:
Cell: 9.7617 9.7617 4.5735 Å, 90.00 90.00 90.00°
Space group I4/mmm (No. 139)
Asymmetric unit:
Zr1 0.0000 0.0000 0.0000 x2
Sc1 0.0000 0.3289 0.0000 x8
Sc2 0.1624 0.1624 0.5000 x8

---

SrTmTc2O8: theoretical powder XRD pattern (Cu Kα X-rays), based on DFT lattice parameters and positions (PBE).
Lines closer than 0.1° are merged.

Principal peaks in the range 2θ = 10–80°, in order of rising 2θ:
2theta, I (rel.), (hkl)
17.4, 37.5, 1 0 0
21.5, 100.0, 0 1 1
30.4, 82.6, 1 1 0
30.7, 77.4, 1 0 2
43.7, 43.3, 0 2 2
49.0, 21.1, 1 2 1
54.2, 33.6, 2 1 2
60.9, 16.4, 1 1 4

Atomic structure:
Cell: 5.8816 5.8816 7.1090 Å, 90.00 90.00 120.00°
Space group P-3m1 (No. 164)
Asymmetric unit:
Sr1 0.0000 0.0000 0.0000 x1
Tm1 0.0000 0.0000 0.5000 x1
Tc1 0.3333 0.6667 0.7846 x2
O1 0.1621 0.3241 0.7069 x6
O2 0.3333 0.6667 0.0333 x2

---

BaTh2Ga6: theoretical powder XRD pattern (Cu Kα X-rays), based on DFT lattice parameters and positions (PBE).
Lines closer than 0.1° are merged.

Principal peaks in the range 2θ = 10–80°, in order of rising 2θ:
2theta, I (rel.), (hkl)
23.6, 19.7, 1 1 0
31.2, 100.0, 1 1 1
40.9, 13.1, 0 0 2
41.5, 37.6, 3 0 0
52.8, 22.9, 2 2 1
59.7, 25.6, 3 0 2
68.5, 10.6, 1 1 3
69.3, 20.4, 4 1 1

Atomic structure:
Cell: 7.5383 7.5383 4.4096 Å, 90.00 90.00 120.00°
Space group P6/mmm (No. 191)
Asymmetric unit:
Ba1 0.0000 0.0000 0.0000 x1
Th1 0.3333 0.6667 0.0000 x2
Ga1 0.0000 0.3387 0.5000 x6